(1)
Calculated powder diffraction line list
Compound: V2TeSe
Radiation: a wavelength of 1.5418 Å
Structure: DFT lattice parameters and positions (PBE)
Peak positions follow from Bragg's law for the DFT cell and can differ from measured ones.

Cell and atoms:
Cell: 4.1635 4.1635 5.6058 Å, 90.00 90.00 120.00°
Space group P3m1 (No. 156)
Inequivalent atoms, fractional coordinates:
V: 0.0000 0.0000 0.0000 (multiplicity 1)
V: 0.3333 0.6667 0.2063 (multiplicity 1)
Te: 0.3333 0.6667 0.7299 (multiplicity 1)
Se: 0.6667 0.3333 0.2390 (multiplicity 1)

The 12 most intense peaks (5 to 70 degrees two-theta), by angle:
- (0 0 1), 2θ = 15.81°, d 5.606, rel. 12
- (1 0 0), 2θ = 24.69°, d 3.606, rel. 49
- (1 0 1), 2θ = 29.45°, d 3.033, rel. 100
- (0 0 2), 2θ = 31.93°, d 2.803, rel. 28
- (0 1 2), 2θ = 40.78°, d 2.213, rel. 75
- (1 1 0), 2θ = 43.47°, d 2.082, rel. 77
- (2 0 0), 2θ = 50.63°, d 1.803, rel. 7
- (0 2 1), 2θ = 53.38°, d 1.716, rel. 19
- (1 1 2), 2θ = 54.94°, d 1.671, rel. 35
- (0 1 3), 2θ = 55.38°, d 1.659, rel. 18
- (2 0 2), 2θ = 61.12°, d 1.516, rel. 22
- (0 0 4), 2θ = 66.75°, d 1.401, rel. 6

***

(2)
Calculated powder diffraction line list
Compound: Tb3Ni4Rh4
Radiation: a wavelength of 1.5418 Å
Structure: DFT lattice parameters and positions (PBE)
Peak positions follow from Bragg's law for the DFT cell and can differ from measured ones.

Cell and atoms:
Cell: 7.412 7.412 7.412 Å, 90.00 90.00 90.00°
Space group I-43m (No. 217)
Inequivalent atoms, fractional coordinates:
Tb: 0.000 0.000 0.500 (multiplicity 6)
Ni: 0.199 0.199 0.801 (multiplicity 8)
Rh: 0.125 0.125 0.125 (multiplicity 8)

The 12 most intense peaks (5 to 70 degrees two-theta), by angle:
- (1 1 0), 2θ = 16.92°, d 5.241, rel. 10
- (2 0 0), 2θ = 24.01°, d 3.706, rel. 21
- (2 1 1), 2θ = 29.52°, d 3.026, rel. 26
- (2 2 0), 2θ = 34.22°, d 2.621, rel. 100
- (3 1 0), 2θ = 38.40°, d 2.344, rel. 67
- (2 2 2), 2θ = 42.24°, d 2.140, rel. 23
- (3 2 1), 2θ = 45.80°, d 1.981, rel. 42
- (4 1 1), 2θ = 52.37°, d 1.747, rel. 30
- (4 2 0), 2θ = 55.44°, d 1.657, rel. 21
- (3 3 2), 2θ = 58.40°, d 1.580, rel. 12
- (4 2 2), 2θ = 61.26°, d 1.513, rel. 25
- (5 2 1), 2θ = 69.45°, d 1.353, rel. 11